Theoretical XRD peak list
Compound: VCrCo
Radiation: Cu Kα (weighted mean of Kα1 and Kα2)
Structure: a GGA-PBE-relaxed structure
Intensities are scaled so that the largest is 100.

The 11 most intense peaks (2θ from 10° to 90°), sorted by position:
2θ 10.4, intensity 1.7
2θ 31.5, intensity 1.2
2θ 32.8, intensity 0.8
2θ 44.4, intensity 52.2
2θ 44.7, intensity 100.0
2θ 55.4, intensity 0.8
2θ 64.6, intensity 15.2
2θ 65.7, intensity 6.8
2θ 74.4, intensity 1.4
2θ 82.0, intensity 28.6
2θ 82.7, intensity 13.2

Structure:
abc: 2.886 2.886 8.532
angles: 90.00 90.00 90.00
Fractional positions:
V 0.250 0.250 0.241
V 0.750 0.750 0.759
Cr 0.250 0.250 0.579
Cr 0.750 0.750 0.421
Co 0.250 0.250 0.909
Co 0.750 0.750 0.091


Theoretical XRD peak list
Compound: As2PdPbO8
Radiation: Cu Kα (weighted mean of Kα1 and Kα2)
Structure: a GGA-PBE-relaxed structure
Intensities are scaled so that the largest is 100.

The 12 most intense peaks (2θ from 10° to 90°), sorted by position:
2θ 21.9, intensity 11.6
2θ 25.4, intensity 100.0
2θ 36.1, intensity 38.5
2θ 36.3, intensity 30.8
2θ 42.7, intensity 10.7
2θ 44.6, intensity 20.3
2θ 52.1, intensity 12.6
2θ 58.7, intensity 19.1
2θ 59.0, intensity 19.1
2θ 64.8, intensity 10.4
2θ 65.0, intensity 12.5
2θ 82.1, intensity 7.8

Structure:
abc: 8.543 8.543 8.543
angles: 33.90 33.90 33.90
Fractional positions:
As 0.243 0.243 0.243
As 0.757 0.757 0.757
Pd 0.500 0.500 0.500
Pb 0.000 0.000 0.000
O 0.125 0.460 0.744
O 0.256 0.540 0.875
O 0.314 0.314 0.314
O 0.460 0.744 0.125
O 0.540 0.875 0.256
O 0.686 0.686 0.686
O 0.744 0.125 0.460
O 0.875 0.256 0.540


Theoretical XRD peak list
Compound: Sm7Dy12Pu
Radiation: Cu Kα (weighted mean of Kα1 and Kα2)
Structure: a GGA-PBE-relaxed structure
Intensities are scaled so that the largest is 100.

The 12 most intense peaks (2θ from 10° to 90°), sorted by position:
2θ 15.7, intensity 16.7
2θ 22.3, intensity 19.5
2θ 27.3, intensity 76.1
2θ 31.7, intensity 100.0
2θ 39.1, intensity 9.4
2θ 45.4, intensity 74.1
2θ 53.8, intensity 35.0
2θ 56.4, intensity 25.9
2θ 66.2, intensity 12.0
2θ 73.0, intensity 14.0
2θ 75.2, intensity 33.0
2θ 83.9, intensity 25.1

Structure:
abc: 9.786 9.786 9.786
angles: 109.47 109.47 109.47
Fractional positions:
Sm 0.000 0.000 0.500
Sm 0.000 0.500 0.000
Sm 0.000 0.500 0.500
Sm 0.500 0.000 0.000
Sm 0.500 0.000 0.500
Sm 0.500 0.500 0.000
Sm 0.500 0.500 0.500
Dy 0.001 0.246 0.755
Dy 0.245 0.492 0.246
Dy 0.245 0.999 0.754
Dy 0.246 0.245 0.492
Dy 0.246 0.755 0.001
Dy 0.492 0.246 0.245
Dy 0.508 0.754 0.755
Dy 0.754 0.245 0.999
Dy 0.754 0.755 0.508
Dy 0.755 0.001 0.246
Dy 0.755 0.508 0.754
Dy 0.999 0.754 0.245
Pu 0.000 0.000 0.000